Structure and theoretical powder X-ray diffraction pattern of BaV4Cu3O12 (a crystal structure in Alexandria, relaxed with GGA+U; Cu Kα X-rays).
Peak positions follow from Bragg's law for the DFT cell and can differ from measured ones.

Structural model:
Cell lengths 7.488, 7.488, 7.488 Å; angles 90.00, 90.00, 90.00 degrees
Space group Im-3 (No. 204)
Unique sites:
Ba  0.000  0.000  0.000
V  0.250  0.250  0.250
Cu  0.000  0.000  0.500
O  0.000  0.189  0.306

Main lines, by angle (2θ = 5–70°):
2theta  I_rel  hkl
16.74  7  1 1 0
23.77  5  2 0 0
29.22  3  2 1 1
33.86  100  2 2 0
38.00  8  3 1 0
41.79  10  2 2 2
45.32  8  3 2 1
48.64  28  4 0 0
54.83  2  4 2 0
60.58  47  4 2 2